Entry 1:
This entry pairs a crystal structure of Li13Mn8O24 with its simulated X-ray powder pattern. Radiation: Cu Kα X-rays. Structure: a PBE+U-relaxed structure.
No peak broadening, texture or thermal motion is included.

Structural model:
Cell lengths 5.006, 8.611, 9.704 Å; angles 90.00, 99.26, 90.00 degrees
Space group P2/m (No. 10)
Symmetry-distinct sites (fractional):
1 Li 0.000 0.000 0.000 (multiplicity 1)
2 Li 0.245 0.347 0.751 (multiplicity 4)
3 Li 0.253 0.500 0.249 (multiplicity 2)
4 Li 0.256 0.153 0.254 (multiplicity 4)
5 Li 0.261 0.000 0.746 (multiplicity 2)
6 Mn 0.000 0.168 0.500 (multiplicity 2)
7 Mn 0.000 0.335 0.000 (multiplicity 2)
8 Mn 0.500 0.170 0.000 (multiplicity 2)
9 Mn 0.500 0.333 0.500 (multiplicity 2)
10 O 0.090 0.000 0.383 (multiplicity 2)
11 O 0.092 0.500 0.883 (multiplicity 2)
12 O 0.145 0.180 0.888 (multiplicity 4)
13 O 0.150 0.315 0.386 (multiplicity 4)
14 O 0.350 0.186 0.615 (multiplicity 4)
15 O 0.352 0.316 0.114 (multiplicity 4)
16 O 0.394 0.000 0.114 (multiplicity 2)
17 O 0.408 0.500 0.617 (multiplicity 2)

Top 10 peaks for 10 to 90 degrees two-theta, in order of rising 2θ:
(hkl), Position (°2θ), d_spacing, I (rel.)
0 0 2, 18.53, 4.789, 1000
0 2 0, 20.63, 4.306, 277
1 1 -1, 21.50, 4.133, 464
1 1 1, 23.90, 3.723, 332
0 2 2, 27.86, 3.202, 210
1 3 -1, 36.66, 2.451, 245
2 0 2, 43.86, 2.064, 394
1 3 -3, 44.38, 2.041, 716
1 3 5, 63.72, 1.460, 191
3 3 -1, 64.61, 1.443, 177



Entry 2:
This entry pairs a crystal structure of LiMnPO4 with its simulated X-ray powder pattern. Radiation: Cu Kα X-rays. Structure: a PBE+U-relaxed structure.
No peak broadening, texture or thermal motion is included.

Structural model:
Cell lengths 9.646, 4.911, 6.501 Å; angles 90.00, 90.08, 90.00 degrees
Space group C2 (No. 5)
Symmetry-distinct sites (fractional):
1 Li 0.176 0.000 0.249 (multiplicity 4)
2 Mn 0.000 0.481 0.000 (multiplicity 2)
3 Mn 0.000 0.481 0.500 (multiplicity 2)
4 P 0.187 0.996 0.749 (multiplicity 4)
5 O 0.133 0.131 0.947 (multiplicity 4)
6 O 0.134 0.130 0.551 (multiplicity 4)
7 O 0.140 0.689 0.750 (multiplicity 4)
8 O 0.149 0.538 0.250 (multiplicity 4)

Top 10 peaks for 10 to 90 degrees two-theta, in order of rising 2θ:
(hkl), Position (°2θ), d_spacing, I (rel.)
1 1 0, 20.29, 4.377, 399
2 0 1, 22.96, 3.873, 166
1 1 -1, 24.52, 3.631, 466
3 1 0, 33.27, 2.693, 1000
1 1 2, 34.37, 2.610, 364
0 2 0, 36.59, 2.456, 243
3 1 -2, 43.67, 2.073, 239
2 2 -2, 50.26, 1.815, 257
5 1 2, 58.74, 1.572, 216
1 3 2, 64.46, 1.446, 124